Entry 1:
Calculated powder XRD pattern of Ti2Zn2PbO7 for Cu Kα, from a DFT-relaxed cell (PBE, Alexandria).
Peak positions follow from Bragg's law for the DFT cell and can differ from measured ones.

Structural model:
a b c (Å): 3.660 16.849 5.061
angles (deg): 90.00 90.00 90.00
Space group Imm2 (No. 44)
Unique sites:
Ti  0.000  0.113  0.000
Zn  0.000  0.226  0.503
Pb  0.000  0.500  0.937
O  0.000  0.000  0.114
O  0.000  0.115  0.647
O  0.000  0.229  0.102
O  0.000  0.386  0.615

Largest 12 diffraction maxima, in order of falling intensity, 10° ≤ 2θ ≤ 80°:
| Position (°2θ) | I (rel.) | index |
| --- | --- | --- |
| 32.0 | 100.0 | 1 2 1 |
| 31.9 | 61.0 | 0 5 1 |
| 29.1 | 56.5 | 1 3 0 |
| 23.7 | 36.5 | 0 3 1 |
| 18.3 | 34.7 | 0 1 1 |
| 46.5 | 27.0 | 1 3 2 |
| 21.1 | 26.6 | 0 4 0 |
| 35.5 | 26.0 | 0 0 2 |
| 44.4 | 23.6 | 1 6 1 |
| 60.4 | 22.5 | 2 5 1 |
| 61.5 | 21.2 | 0 5 3 |
| 49.8 | 19.0 | 2 0 0 |

Entry 2:
Calculated powder XRD pattern of Nb3Ga4Mo for Cu Kα, from a DFT-relaxed cell (PBE, Alexandria).
Peak positions follow from Bragg's law for the DFT cell and can differ from measured ones.

Structural model:
a b c (Å): 4.943 5.484 10.390
angles (deg): 90.00 90.00 90.00
Space group Pmmn (No. 59, origin choice 2)
Unique sites:
Nb  0.250  0.004  0.199
Nb  0.250  0.750  0.694
Ga  0.250  0.001  0.934
Ga  0.250  0.250  0.443
Ga  0.250  0.750  0.430
Mo  0.250  0.250  0.702

Largest 12 diffraction maxima, in order of falling intensity, 10° ≤ 2θ ≤ 80°:
| Position (°2θ) | I (rel.) | index |
| --- | --- | --- |
| 39.2 | 100.0 | 1 0 4 |
| 46.0 | 68.6 | 1 2 3 |
| 36.3 | 65.1 | 2 0 0 |
| 33.8 | 53.3 | 0 2 1 |
| 50.5 | 33.5 | 2 2 1 |
| 38.5 | 29.4 | 1 2 1 |
| 67.3 | 19.3 | 3 0 4 |
| 72.2 | 17.2 | 3 2 3 |
| 72.4 | 11.4 | 0 2 7 |
| 17.1 | 11.1 | 0 0 2 |
| 58.8 | 10.7 | 1 2 5 |
| 68.4 | 9.7 | 0 4 0 |

> Number 2 is which compound?

Nb3Ga4Mo

> Number 1 is which compound?

Ti2Zn2PbO7